Diffraction record for Pm2PN3. The X-ray diffraction stick pattern is theoretical, not measured: it uses a cell relaxed with PBE and Cu Kα (weighted mean of Kα1 and Kα2).
Lines closer than 0.1° are merged.

Atomic structure:
a = 5.2159 Å, b = 11.2215 Å, c = 11.6559 Å
α = 90.00°, β = 90.00°, γ = 90.00°
Space group Cmce (No. 64)
Inequivalent atoms, fractional coordinates:
Pm (0.0000, 0.0512, 0.1386)
Pm (0.0000, 0.1451, 0.5523)
P (0.0000, 0.2242, 0.8224)
N (0.0000, 0.1311, 0.3326)
N (0.0000, 0.1577, 0.9485)
N (0.2500, 0.1596, 0.7500)

Largest 10 diffraction maxima, in order of rising 2θ, 10° ≤ 2θ ≤ 90°:
- 2θ = 24.23°, intensity 35
- 2θ = 29.76°, intensity 97
- 2θ = 30.39°, intensity 100
- 2θ = 32.84°, intensity 37
- 2θ = 33.24°, intensity 79
- 2θ = 34.39°, intensity 74
- 2θ = 36.21°, intensity 34
- 2θ = 41.97°, intensity 47
- 2θ = 58.78°, intensity 35
- 2θ = 66.06°, intensity 37

***

Diffraction record for Li2Ce3Sn3. The X-ray diffraction stick pattern is theoretical, not measured: it uses a cell relaxed with PBE and Cu Kα (weighted mean of Kα1 and Kα2).
Lines closer than 0.1° are merged.

Atomic structure:
a = 8.5418 Å, b = 8.5418 Å, c = 3.1293 Å
α = 90.00°, β = 90.00°, γ = 120.00°
Space group P-62m (No. 189)
Inequivalent atoms, fractional coordinates:
Li (0.3333, 0.6667, 0.0000)
Ce (0.0000, 0.2476, 0.0000)
Sn (0.0000, 0.5975, 0.5000)

Largest 10 diffraction maxima, in order of rising 2θ, 10° ≤ 2θ ≤ 90°:
- 2θ = 20.80°, intensity 51
- 2θ = 31.03°, intensity 22
- 2θ = 32.01°, intensity 100
- 2θ = 35.57°, intensity 93
- 2θ = 36.44°, intensity 16
- 2θ = 37.65°, intensity 34
- 2θ = 53.40°, intensity 34
- 2θ = 57.92°, intensity 19
- 2θ = 62.23°, intensity 25
- 2θ = 68.75°, intensity 22

***

Diffraction record for PmPrNd4. The X-ray diffraction stick pattern is theoretical, not measured: it uses a cell relaxed with PBE and Cu Kα (weighted mean of Kα1 and Kα2).
Lines closer than 0.1° are merged.

Atomic structure:
a = 9.5377 Å, b = 9.5377 Å, c = 9.5377 Å
α = 90.00°, β = 90.00°, γ = 90.00°
Space group F-43m (No. 216)
Inequivalent atoms, fractional coordinates:
Pm (0.0000, 0.0000, 0.0000)
Pr (0.2500, 0.2500, 0.2500)
Nd (0.1253, 0.1253, 0.6253)

Largest 10 diffraction maxima, in order of rising 2θ, 10° ≤ 2θ ≤ 90°:
- 2θ = 26.43°, intensity 26
- 2θ = 31.10°, intensity 100
- 2θ = 32.52°, intensity 41
- 2θ = 46.65°, intensity 11
- 2θ = 49.67°, intensity 36
- 2θ = 54.42°, intensity 32
- 2θ = 64.01°, intensity 13
- 2θ = 64.84°, intensity 17
- 2θ = 76.76°, intensity 22
- 2θ = 88.85°, intensity 12

***

Diffraction record for PuMnIr. The X-ray diffraction stick pattern is theoretical, not measured: it uses a cell relaxed with PBE and Cu Kα (weighted mean of Kα1 and Kα2).
Lines closer than 0.1° are merged.

Atomic structure:
a = 5.4002 Å, b = 5.4530 Å, c = 7.0838 Å
α = 90.00°, β = 90.00°, γ = 90.00°
Space group Imma (No. 74)
Inequivalent atoms, fractional coordinates:
Pu (0.0000, 0.2500, 0.1244)
Mn (0.2500, 0.2500, 0.7500)
Ir (0.0000, 0.0000, 0.5000)

Largest 10 diffraction maxima, in order of rising 2θ, 10° ≤ 2θ ≤ 90°:
- 2θ = 20.55°, intensity 22
- 2θ = 33.18°, intensity 41
- 2θ = 34.46°, intensity 61
- 2θ = 39.14°, intensity 100
- 2θ = 39.35°, intensity 38
- 2θ = 41.73°, intensity 58
- 2θ = 41.81°, intensity 19
- 2θ = 42.08°, intensity 20
- 2θ = 63.28°, intensity 25
- 2θ = 72.66°, intensity 30

***

Diffraction record for Ca5Al2N5. The X-ray diffraction stick pattern is theoretical, not measured: it uses a cell relaxed with PBE and Cu Kα (weighted mean of Kα1 and Kα2).
Lines closer than 0.1° are merged.

Atomic structure:
a = 8.1806 Å, b = 8.1806 Å, c = 5.3753 Å
α = 90.00°, β = 90.00°, γ = 90.00°
Space group I4mm (No. 107)
Inequivalent atoms, fractional coordinates:
Ca (0.0000, 0.0000, 0.0000)
Ca (0.1938, 0.1938, 0.4545)
Al (0.0000, 0.5000, 0.3951)
N (0.0000, 0.0000, 0.5755)
N (0.0000, 0.3236, 0.1497)

Largest 10 diffraction maxima, in order of rising 2θ, 10° ≤ 2θ ≤ 90°:
- 2θ = 29.54°, intensity 40
- 2θ = 30.92°, intensity 56
- 2θ = 33.34°, intensity 31
- 2θ = 36.96°, intensity 100
- 2θ = 43.28°, intensity 17
- 2θ = 46.10°, intensity 43
- 2θ = 47.13°, intensity 16
- 2θ = 48.87°, intensity 21
- 2θ = 58.99°, intensity 21
- 2θ = 63.65°, intensity 17

***

Diffraction record for Tb2Pm3Hg6. The X-ray diffraction stick pattern is theoretical, not measured: it uses a cell relaxed with PBE and Cu Kα (weighted mean of Kα1 and Kα2).
Lines closer than 0.1° are merged.

Atomic structure:
a = 5.1510 Å, b = 5.1510 Å, c = 26.9493 Å
α = 90.00°, β = 90.00°, γ = 90.00°
Space group I4/mmm (No. 139)
Inequivalent atoms, fractional coordinates:
Tb (0.0000, 0.0000, 0.1250)
Pm (0.0000, 0.0000, 0.3562)
Pm (0.0000, 0.0000, 0.5000)
Hg (0.0000, 0.0000, 0.2390)
Hg (0.0000, 0.5000, 0.0665)

Largest 10 diffraction maxima, in order of rising 2θ, 10° ≤ 2θ ≤ 90°:
- 2θ = 19.77°, intensity 16
- 2θ = 25.33°, intensity 59
- 2θ = 31.63°, intensity 18
- 2θ = 34.83°, intensity 69
- 2θ = 36.33°, intensity 100
- 2θ = 40.38°, intensity 13
- 2θ = 50.09°, intensity 25
- 2θ = 56.94°, intensity 13
- 2θ = 63.43°, intensity 40
- 2θ = 84.03°, intensity 12

***

Diffraction record for Zr3Zn4. The X-ray diffraction stick pattern is theoretical, not measured: it uses a cell relaxed with PBE and Cu Kα (weighted mean of Kα1 and Kα2).
Lines closer than 0.1° are merged.

Atomic structure:
a = 7.7747 Å, b = 4.4810 Å, c = 7.8673 Å
α = 90.00°, β = 109.19°, γ = 90.00°
Space group C2/m (No. 12)
Inequivalent atoms, fractional coordinates:
Zr (0.0000, 0.0000, 0.0000)
Zr (0.0706, 0.5000, 0.7119)
Zn (0.1584, 0.0000, 0.4751)
Zn (0.2086, 0.5000, 0.1258)

Largest 10 diffraction maxima, in order of rising 2θ, 10° ≤ 2θ ≤ 90°:
- 2θ = 30.53°, intensity 6
- 2θ = 36.49°, intensity 100
- 2θ = 39.82°, intensity 7
- 2θ = 40.22°, intensity 87
- 2θ = 55.42°, intensity 29
- 2θ = 63.11°, intensity 13
- 2θ = 70.66°, intensity 27
- 2θ = 73.13°, intensity 9
- 2θ = 76.98°, intensity 6
- 2θ = 77.53°, intensity 7

***

Diffraction record for AcPm4Dy2Tm. The X-ray diffraction stick pattern is theoretical, not measured: it uses a cell relaxed with PBE and Cu Kα (weighted mean of Kα1 and Kα2).
Lines closer than 0.1° are merged.

Atomic structure:
a = 5.9371 Å, b = 5.9371 Å, c = 7.8256 Å
α = 90.00°, β = 90.00°, γ = 90.00°
Space group P4/mmm (No. 123)
Inequivalent atoms, fractional coordinates:
Ac (0.0000, 0.0000, 0.0000)
Pm (0.0000, 0.5000, 0.2721)
Dy (0.0000, 0.0000, 0.5000)
Dy (0.5000, 0.5000, 0.0000)
Tm (0.5000, 0.5000, 0.5000)

Largest 10 diffraction maxima, in order of rising 2θ, 10° ≤ 2θ ≤ 90°:
- 2θ = 30.10°, intensity 57
- 2θ = 31.25°, intensity 100
- 2θ = 43.09°, intensity 22
- 2θ = 46.40°, intensity 9
- 2θ = 54.19°, intensity 43
- 2θ = 56.32°, intensity 18
- 2θ = 65.19°, intensity 11
- 2θ = 71.00°, intensity 10
- 2θ = 87.39°, intensity 11
- 2θ = 89.14°, intensity 10

***

Which formula does entry 2 have?
Li2Ce3Sn3